[1]
For LiLuGa, a PBE-relaxed structure gives the calculated powder XRD pattern in this record (CuKα).
Intensities are scaled so that the largest is 1000.

Peak list (6 most intense, 15 to 90 degrees two-theta, low angle first)
- (1 0 0), 2θ 22.3, I 717
- (1 0 1), 2θ 35.5, I 1000
- (1 1 0), 2θ 39.1, I 502
- (2 0 1), 2θ 53.9, I 305
- (2 1 1), 2θ 68.5, I 295
- (3 0 0), 2θ 70.8, I 260

Atomic structure:
a = 4.6093 Å, b = 4.6093 Å, c = 3.2608 Å
α = 90.00°, β = 90.00°, γ = 120.00°
Space group P-6m2 (No. 187)
Unique sites:
Li  0.0000  0.0000  0.0000 x1
Lu  0.6667  0.3333  0.5000 x1
Ga  0.3333  0.6667  0.0000 x1



[2]
For Mg6In5Hg, a PBE-relaxed structure gives the calculated powder XRD pattern in this record (CuKα).
Intensities are scaled so that the largest is 1000.

Peak list (6 most intense, 15 to 90 degrees two-theta, low angle first)
- (0 0 2), 2θ 20.6, I 401
- (1 3 0), 2θ 27.2, I 411
- (1 3 2), 2θ 34.4, I 1000
- (0 6 0), 2θ 38.7, I 181
- (2 0 0), 2θ 39.1, I 179
- (1 3 4), 2θ 50.8, I 150

Atomic structure:
a = 4.607 Å, b = 13.959 Å, c = 8.609 Å
α = 90.00°, β = 90.00°, γ = 90.00°
Space group Cmmm (No. 65)
Unique sites:
Mg  0.000  0.000  0.240 x4
Mg  0.000  0.335  0.246 x8
In  0.000  0.166  0.500 x4
In  0.000  0.169  0.000 x4
In  0.000  0.500  0.500 x2
Hg  0.000  0.500  0.000 x2



[3]
For Pa2Bi2Se7, a PBE-relaxed structure gives the calculated powder XRD pattern in this record (CuKα).
Intensities are scaled so that the largest is 1000.

Peak list (6 most intense, 15 to 90 degrees two-theta, low angle first)
- (0 2 2), 2θ 22.6, I 863
- (1 2 1), 2θ 26.2, I 733
- (1 4 1), 2θ 32.5, I 1000
- (1 0 3), 2θ 37.2, I 500
- (0 6 2), 2θ 38.8, I 569
- (1 6 1), 2θ 41.1, I 513

Atomic structure:
a = 4.121 Å, b = 16.290 Å, c = 8.967 Å
α = 90.00°, β = 90.00°, γ = 90.00°
Space group Imm2 (No. 44)
Unique sites:
Pa  0.000  0.000  0.000 x2
Pa  0.000  0.500  0.053 x2
Bi  0.000  0.235  0.739 x4
Se  0.000  0.120  0.498 x4
Se  0.000  0.182  0.088 x4
Se  0.000  0.404  0.328 x4
Se  0.000  0.500  0.722 x2